Starting from the PBE geometry in the Materials Project, the powder X-ray diffraction pattern of ZnGa2Se4 was simulated for CuKα.
Peak positions follow from Bragg's law for the DFT cell and can differ from measured ones.

Cell and atoms:
```
ZnGa2Se4
1.0
-2.819 2.819 5.536
2.819 -2.819 5.536
2.819 2.819 -5.536
Zn Ga Se
1 2 4
Cartesian
0.000 0.000 0.000
2.819 0.000 2.768
0.000 0.000 5.536
1.493 1.363 -1.470
1.456 -1.326 7.006
1.326 1.456 4.066
1.363 4.144 1.470
```

Most intense lines, 2θ from 10° to 80°, most intense first:
| two_theta | Rel. int. |
| --- | --- |
| 27.58 | 100.0 |
| 45.95 | 45.8 |
| 54.05 | 28.6 |
| 45.51 | 23.8 |
| 54.82 | 13.6 |
| 73.93 | 11.6 |
| 66.33 | 7.3 |
| 17.66 | 6.4 |
| 36.56 | 5.9 |
| 73.27 | 5.5 |

=====

Starting from the PBE geometry in the Materials Project, the powder X-ray diffraction pattern of Ga3Si was simulated for CuKα.
Peak positions follow from Bragg's law for the DFT cell and can differ from measured ones.

Cell and atoms:
```
Ga3Si
1.0
4.133 0.000 0.000
0.000 4.133 0.000
0.000 0.000 4.133
Ga Si
3 1
Cartesian
0.000 0.000 2.066
0.000 2.066 0.000
2.066 0.000 0.000
2.066 2.066 2.066
```

Most intense lines, 2θ from 10° to 80°, most intense first:
| two_theta | Rel. int. |
| --- | --- |
| 37.70 | 100.0 |
| 43.81 | 48.6 |
| 76.44 | 35.6 |
| 63.69 | 30.7 |
| 21.50 | 9.6 |
| 30.59 | 8.4 |
| 49.31 | 4.6 |
| 54.38 | 3.4 |
| 68.06 | 2.0 |
| 72.30 | 1.3 |